No. 1
The following is a theoretical X-ray diffraction stick pattern of La2Ni2Ru. It was derived from DFT lattice parameters and positions (PBE), using Cu Kα.

Main lines, by angle (2θ from 5° to 70°):
2theta	intensity
30.65	42
33.28	100
33.95	36
35.59	75
38.00	37
38.40	41
39.84	44
41.28	41
45.66	42
58.68	40

Structural model:
```
10
Lattice="4.2882 -2.8479 0.0000 4.2882 2.8479 0.0000 -1.9787 0.0000 8.2478" Properties=species:S:1:pos:R:3 pbc="T T T"
La 1.0370 0.6875 1.2877
La 0.0476 -0.6875 5.4116
La 6.5500 0.6875 2.8362
La 5.5607 -0.6875 6.9601
Ni 2.2643 0.7117 4.1329
Ni 3.3440 0.7117 8.2387
Ni 3.2537 -0.7117 0.0090
Ni 4.3334 -0.7117 4.1148
Ru 3.7935 0.7209 2.0619
Ru 2.8041 -0.7209 6.1858
```


No. 2
The following is a theoretical X-ray diffraction stick pattern of BaPu2Se3. It was derived from DFT lattice parameters and positions (PBE), using Cu Kα.

Main lines, by angle (2θ from 5° to 70°):
2theta	intensity
7.69	46
13.95	33
23.37	41
26.03	36
26.68	64
33.02	70
33.17	53
34.10	49
35.76	100
44.11	32

Structural model:
```
12
Lattice="4.1063 0.0000 0.0000 0.0000 11.4953 0.0000 0.0000 0.0000 7.6137" Properties=species:S:1:pos:R:3 pbc="T T T"
Ba 0.0000 1.5454 0.0000
Ba 0.0000 9.9500 3.8069
Pu 0.0000 2.6370 3.8550
Pu 0.0000 8.8584 0.0482
Pu 2.0531 5.7141 3.9392
Pu 2.0531 5.7812 0.1324
Se 0.0000 4.6120 5.9284
Se 0.0000 6.8833 2.1215
Se 2.0531 0.8736 5.0398
Se 2.0531 3.4072 1.8884
Se 2.0531 8.0882 5.6953
Se 2.0531 10.6218 1.2329
```